Record 1
Calculated PXRD pattern
Compound: La4PmNd2
Radiation: Cu Kα X-rays
Structure: a cell relaxed with GGA-PBE

Most intense lines, 2θ from 10° to 90°, by angle:
- 29.50 deg, intensity 35
- 30.56 deg, intensity 77
- 30.90 deg, intensity 100
- 31.46 deg, intensity 76
- 33.13 deg, intensity 19
- 33.78 deg, intensity 32
- 48.04 deg, intensity 25
- 54.17 deg, intensity 21

Cell and atoms:
Lattice parameters (Å, degrees): 7.1129 7.2907 10.6173 89.99 90.00 71.27
Atoms (fractional coordinates):
La  0.1920  0.2739  0.2884
La  0.1931  0.2720  0.7121
La  0.3064  0.7274  0.2107
La  0.3076  0.7252  0.7900
La  0.6924  0.2748  0.2100
La  0.6936  0.2726  0.7893
La  0.8069  0.7280  0.2879
La  0.8080  0.7261  0.7116
Pm  0.0000  0.0000  0.0000
Pm  0.0000  0.5000  0.0000
Nd  0.0000  0.0000  0.5000
Nd  0.5000  0.0000  0.0000
Nd  0.5000  0.0000  0.5000
Nd  0.5000  0.5000  0.5000

---

Record 2
Calculated PXRD pattern
Compound: NpVRu5
Radiation: Cu Kα X-rays
Structure: a cell relaxed with GGA-PBE

Most intense lines, 2θ from 10° to 90°, by angle:
- 13.70 deg, intensity 24
- 25.60 deg, intensity 20
- 33.68 deg, intensity 44
- 41.69 deg, intensity 100
- 43.86 deg, intensity 48
- 62.28 deg, intensity 16
- 63.76 deg, intensity 15
- 79.11 deg, intensity 30

Cell and atoms:
Lattice parameters (Å, degrees): 4.1288 4.1288 6.4650 90.00 90.00 90.00
Atoms (fractional coordinates):
Np  0.0000  0.0000  0.0000
V  0.5000  0.5000  0.5000
Ru  0.0000  0.5000  0.2849
Ru  0.0000  0.5000  0.7151
Ru  0.5000  0.0000  0.2849
Ru  0.5000  0.0000  0.7151
Ru  0.5000  0.5000  0.0000

---

Record 3
Calculated PXRD pattern
Compound: Ac2AgO
Radiation: Cu Kα X-rays
Structure: a cell relaxed with GGA-PBE

Most intense lines, 2θ from 10° to 90°, by angle:
- 22.30 deg, intensity 16
- 29.03 deg, intensity 100
- 30.09 deg, intensity 24
- 30.56 deg, intensity 22
- 43.42 deg, intensity 20
- 51.67 deg, intensity 8
- 52.78 deg, intensity 19
- 53.37 deg, intensity 17

Cell and atoms:
Lattice parameters (Å, degrees): 7.4369 7.4369 5.9405 90.00 90.00 133.67
Atoms (fractional coordinates):
Ac  0.1254  0.3332  0.0000
Ac  0.3332  0.1254  0.5000
Ac  0.6668  0.8746  0.5000
Ac  0.8746  0.6668  0.0000
Ag  0.0000  0.5000  0.5000
Ag  0.5000  0.0000  0.0000
O  0.0000  0.0000  0.2500
O  0.0000  0.0000  0.7500

---

Record 4
Calculated PXRD pattern
Compound: LaPm5Sm12
Radiation: Cu Kα X-rays
Structure: a cell relaxed with GGA-PBE

Most intense lines, 2θ from 10° to 90°, by angle:
- 29.45 deg, intensity 24
- 30.39 deg, intensity 30
- 31.39 deg, intensity 100
- 34.15 deg, intensity 12
- 42.83 deg, intensity 17
- 53.47 deg, intensity 12
- 54.62 deg, intensity 21
- 57.06 deg, intensity 9

Cell and atoms:
Lattice parameters (Å, degrees): 10.5562 10.5562 6.0659 90.07 90.07 113.44
Atoms (fractional coordinates):
La  0.0000  0.0000  0.0000
Pm  0.1685  0.8315  0.5000
Pm  0.3290  0.6710  0.0000
Pm  0.5000  0.5000  0.5000
Pm  0.6710  0.3290  0.0000
Pm  0.8315  0.1685  0.5000
Sm  0.0139  0.3465  0.9435
Sm  0.1560  0.4888  0.4442
Sm  0.1768  0.1768  0.5446
Sm  0.3289  0.3289  0.0444
Sm  0.3465  0.0139  0.9435
Sm  0.4888  0.1560  0.4442
Sm  0.5112  0.8440  0.5558
Sm  0.6535  0.9861  0.0565
Sm  0.6711  0.6711  0.9556
Sm  0.8232  0.8232  0.4554
Sm  0.8440  0.5112  0.5558
Sm  0.9861  0.6535  0.0565

---

Record 5
Calculated PXRD pattern
Compound: AlCuSn
Radiation: Cu Kα X-rays
Structure: a cell relaxed with GGA-PBE

Most intense lines, 2θ from 10° to 90°, by angle:
- 14.76 deg, intensity 62
- 30.86 deg, intensity 66
- 34.37 deg, intensity 100
- 35.58 deg, intensity 71
- 40.10 deg, intensity 50
- 43.41 deg, intensity 43
- 44.41 deg, intensity 51
- 44.75 deg, intensity 32

Cell and atoms:
Lattice parameters (Å, degrees): 3.3947 5.5614 6.0031 90.00 90.08 90.00
Atoms (fractional coordinates):
Al  0.0000  0.0000  0.0000
Al  0.0002  0.5000  0.0095
Cu  0.5012  0.2453  0.2247
Cu  0.5012  0.7547  0.2247
Sn  0.0000  0.0000  0.5320
Sn  0.4998  0.5000  0.6094

---

Record 6
Calculated PXRD pattern
Compound: SrFeTc2Cl
Radiation: Cu Kα X-rays
Structure: a cell relaxed with GGA-PBE

Most intense lines, 2θ from 10° to 90°, by angle:
- 16.75 deg, intensity 47
- 17.35 deg, intensity 66
- 29.58 deg, intensity 85
- 33.87 deg, intensity 100
- 35.11 deg, intensity 45
- 38.30 deg, intensity 37
- 48.65 deg, intensity 35
- 49.58 deg, intensity 65

Cell and atoms:
Lattice parameters (Å, degrees): 5.2933 5.2933 5.1121 90.00 90.00 90.00
Atoms (fractional coordinates):
Sr  0.0000  0.0000  0.0000
Fe  0.0000  0.0000  0.5000
Tc  0.0000  0.5000  0.0000
Tc  0.5000  0.0000  0.0000
Cl  0.5000  0.5000  0.5000

---

Record 7
Calculated PXRD pattern
Compound: Ce6Co2Pt
Radiation: Cu Kα X-rays
Structure: a cell relaxed with GGA-PBE

Most intense lines, 2θ from 10° to 90°, by angle:
- 31.10 deg, intensity 62
- 32.91 deg, intensity 79
- 34.95 deg, intensity 100
- 35.45 deg, intensity 42
- 35.59 deg, intensity 34
- 36.36 deg, intensity 36
- 39.92 deg, intensity 47
- 61.95 deg, intensity 36

Cell and atoms:
Lattice parameters (Å, degrees): 8.1792 8.1792 8.1792 112.94 108.06 107.48
Atoms (fractional coordinates):
Ce  0.0567  0.8116  0.2451
Ce  0.1731  0.4714  0.2983
Ce  0.1731  0.8748  0.7017
Ce  0.3492  0.3152  0.6644
Ce  0.3492  0.6848  0.0339
Ce  0.4335  0.1884  0.2451
Ce  0.5665  0.8116  0.7549
Ce  0.6508  0.3152  0.9661
Ce  0.6508  0.6848  0.3356
Ce  0.8269  0.1252  0.2983
Ce  0.8269  0.5286  0.7017
Ce  0.9433  0.1884  0.7549
Co  0.1446  0.5000  0.6446
Co  0.2873  0.2873  0.0000
Co  0.7127  0.7127  0.0000
Co  0.8554  0.5000  0.3554
Pt  0.0000  0.0000  0.0000
Pt  0.5000  0.0000  0.5000

---

Record 8
Calculated PXRD pattern
Compound: Er3Tm4Sc5
Radiation: Cu Kα X-rays
Structure: a cell relaxed with GGA-PBE

Most intense lines, 2θ from 10° to 90°, by angle:
- 22.22 deg, intensity 35
- 31.00 deg, intensity 34
- 31.43 deg, intensity 43
- 31.83 deg, intensity 93
- 33.54 deg, intensity 45
- 33.91 deg, intensity 100
- 34.85 deg, intensity 51
- 45.34 deg, intensity 31

Cell and atoms:
Lattice parameters (Å, degrees): 8.1262 8.1262 9.1773 117.75 117.75 40.49
Atoms (fractional coordinates):
Er  0.0000  0.0000  0.0000
Er  0.2722  0.2722  0.7400
Er  0.7278  0.7278  0.2600
Tm  0.2917  0.2917  0.1193
Tm  0.4150  0.4150  0.5586
Tm  0.5850  0.5850  0.4414
Tm  0.7083  0.7083  0.8807
Sc  0.0616  0.0616  0.7024
Sc  0.1679  0.1679  0.3622
Sc  0.5000  0.5000  0.0000
Sc  0.8321  0.8321  0.6378
Sc  0.9384  0.9384  0.2976

---

Record 9
Calculated PXRD pattern
Compound: Tb4SbSe2S
Radiation: Cu Kα X-rays
Structure: a cell relaxed with GGA-PBE

Most intense lines, 2θ from 10° to 90°, by angle:
- 30.51 deg, intensity 100
- 43.54 deg, intensity 12
- 43.68 deg, intensity 48
- 43.87 deg, intensity 12
- 54.08 deg, intensity 12
- 54.37 deg, intensity 13
- 63.50 deg, intensity 11
- 72.06 deg, intensity 20

Cell and atoms:
Lattice parameters (Å, degrees): 8.2889 8.2889 8.2889 120.28 119.79 89.94
Atoms (fractional coordinates):
Tb  0.2596  0.2483  0.4887
Tb  0.2596  0.7709  0.0113
Tb  0.2616  0.2447  0.0169
Tb  0.2722  0.7553  0.5169
Tb  0.7278  0.2447  0.4831
Tb  0.7384  0.7553  0.9831
Tb  0.7404  0.2291  0.9887
Tb  0.7404  0.7517  0.5113
Sb  0.0000  0.5000  0.5000
Sb  0.5000  0.5000  0.0000
Se  0.0000  0.0000  0.0000
Se  0.0000  0.0000  0.5000
Se  0.0000  0.5000  0.0000
Se  0.5000  0.0000  0.5000
S  0.5000  0.0000  0.0000
S  0.5000  0.5000  0.5000

---

Record 10
Calculated PXRD pattern
Compound: Ce4Tl4Sn
Radiation: Cu Kα X-rays
Structure: a cell relaxed with GGA-PBE

Most intense lines, 2θ from 10° to 90°, by angle:
- 29.54 deg, intensity 51
- 30.30 deg, intensity 30
- 32.38 deg, intensity 100
- 37.82 deg, intensity 42
- 42.83 deg, intensity 23
- 51.38 deg, intensity 17
- 54.23 deg, intensity 24
- 71.12 deg, intensity 17

Cell and atoms:
Lattice parameters (Å, degrees): 7.2560 7.2560 7.2560 100.00 100.00 130.74
Atoms (fractional coordinates):
Ce  0.0386  0.3524  0.3910
Ce  0.3524  0.9614  0.3137
Ce  0.6476  0.0386  0.6863
Ce  0.9614  0.6476  0.6090
Tl  0.3016  0.6178  0.9194
Tl  0.3822  0.3016  0.6838
Tl  0.6178  0.6984  0.3162
Tl  0.6984  0.3822  0.0806
Sn  0.0000  0.0000  0.0000

---

Record 11
Calculated PXRD pattern
Compound: Tm4MgAu
Radiation: Cu Kα X-rays
Structure: a cell relaxed with GGA-PBE

Most intense lines, 2θ from 10° to 90°, by angle:
- 16.20 deg, intensity 43
- 16.90 deg, intensity 92
- 28.88 deg, intensity 73
- 33.00 deg, intensity 86
- 34.82 deg, intensity 86
- 34.99 deg, intensity 100
- 39.18 deg, intensity 43
- 44.42 deg, intensity 48

Cell and atoms:
Lattice parameters (Å, degrees): 10.5399 10.5399 6.4883 90.00 90.00 150.15
Atoms (fractional coordinates):
Tm  0.0562  0.9438  0.5000
Tm  0.1976  0.8024  0.7826
Tm  0.2083  0.7917  0.2960
Tm  0.3763  0.6237  0.5539
Tm  0.6237  0.3763  0.0539
Tm  0.7917  0.2083  0.7960
Tm  0.8024  0.1976  0.2826
Tm  0.9438  0.0562  0.0000
Mg  0.3471  0.6529  0.0452
Mg  0.6529  0.3471  0.5452
Au  0.0800  0.9200  0.0049
Au  0.9200  0.0800  0.5049

---

Record 12
Calculated PXRD pattern
Compound: LiAgI2O
Radiation: Cu Kα X-rays
Structure: a cell relaxed with GGA-PBE

Most intense lines, 2θ from 10° to 90°, by angle:
- 15.29 deg, intensity 43
- 21.69 deg, intensity 87
- 30.86 deg, intensity 100
- 38.04 deg, intensity 66
- 44.21 deg, intensity 40
- 49.76 deg, intensity 37
- 54.89 deg, intensity 37
- 64.30 deg, intensity 25

Cell and atoms:
Lattice parameters (Å, degrees): 5.7952 5.7952 4.0966 90.00 90.00 90.00
Atoms (fractional coordinates):
Li  0.0000  0.0000  0.0000
Ag  0.5000  0.5000  0.5000
I  0.0000  0.5000  0.5000
I  0.5000  0.0000  0.5000
O  0.5000  0.5000  0.0000

---

Record 13
Calculated PXRD pattern
Compound: Dy3Cu2
Radiation: Cu Kα X-rays
Structure: a cell relaxed with GGA-PBE

Most intense lines, 2θ from 10° to 90°, by angle:
- 25.66 deg, intensity 15
- 31.93 deg, intensity 18
- 35.01 deg, intensity 100
- 36.60 deg, intensity 73
- 38.47 deg, intensity 30
- 52.73 deg, intensity 25
- 64.87 deg, intensity 33
- 66.14 deg, intensity 14

Cell and atoms:
Lattice parameters (Å, degrees): 3.4722 3.4722 19.0005 90.00 90.00 90.00
Atoms (fractional coordinates):
Dy  0.0000  0.0000  0.0000
Dy  0.0000  0.0000  0.1833
Dy  0.0000  0.0000  0.3644
Dy  0.0000  0.0000  0.6356
Dy  0.0000  0.0000  0.8167
Dy  0.5000  0.5000  0.5000
Cu  0.5000  0.5000  0.0915
Cu  0.5000  0.5000  0.2741
Cu  0.5000  0.5000  0.7259
Cu  0.5000  0.5000  0.9085